1.
Diffraction record for FeSi25Ge6. The powder X-ray diffraction pattern is calculated, not measured: it uses a GGA-PBE-relaxed structure and Cu Kα X-rays.
Kinematic intensities with the Lorentz-polarization factor, no thermal factor.

Atomic structure:
```
data_FeSi25Ge6
_cell_length_a 6.727
_cell_length_b 6.729
_cell_length_c 15.552
_cell_angle_alpha 89.96
_cell_angle_beta 89.98
_cell_angle_gamma 70.46
_symmetry_space_group_name_H-M 'P 1'
_symmetry_Int_Tables_number 1
loop_
_symmetry_equiv_pos_as_xyz
'x,y,z'
loop_
_atom_site_label
_atom_site_type_symbol
_atom_site_fract_x
_atom_site_fract_y
_atom_site_fract_z
Fe1 Fe 0.000 0.000 0.000
Si1 Si 0.001 0.001 0.248
Si2 Si 0.001 0.509 0.378
Si3 Si 0.001 0.509 0.873
Si4 Si 0.355 0.895 0.000
Si5 Si 0.372 0.379 0.872
Si6 Si 0.373 0.381 0.375
Si7 Si 0.373 0.381 0.628
Si8 Si 0.374 0.881 0.251
Si9 Si 0.374 0.881 0.751
Si10 Si 0.379 0.886 0.501
Si11 Si 0.495 0.510 0.253
Si12 Si 0.499 0.007 0.375
Si13 Si 0.499 0.007 0.627
Si14 Si 0.499 0.007 0.876
Si15 Si 0.499 0.507 0.750
Si16 Si 0.500 0.000 0.125
Si17 Si 0.872 0.382 0.750
Si18 Si 0.873 0.881 0.373
Si19 Si 0.873 0.881 0.629
Si20 Si 0.877 0.886 0.119
Si21 Si 0.878 0.387 0.502
Si22 Si 0.878 0.885 0.881
Si23 Si 0.996 0.512 0.125
Si24 Si 0.999 0.007 0.753
Si25 Si 0.999 0.507 0.627
Ge1 Ge 0.372 0.379 0.128
Ge2 Ge 0.493 0.511 0.998
Ge3 Ge 0.499 0.507 0.501
Ge4 Ge 0.873 0.382 0.252
Ge5 Ge 0.887 0.363 0.999
Ge6 Ge 0.999 0.008 0.501
```

Largest 6 diffraction maxima, by angle, 2θ from 10° to 80°:
- 2θ = 11.38°, 7.776 Å, rel. 7, hkl 0 0 2
- 2θ = 28.13°, 3.172 Å, rel. 100, hkl 2 0 0
- 2θ = 46.77°, 1.943 Å, rel. 69, hkl 3 1 4
- 2θ = 55.47°, 1.657 Å, rel. 41, hkl 1 -3 4
- 2θ = 68.29°, 1.374 Å, rel. 11, hkl 4 4 0
- 2θ = 75.38°, 1.261 Å, rel. 10, hkl 2 4 -8

2.
Diffraction record for Th7Ni3. The powder X-ray diffraction pattern is calculated, not measured: it uses a GGA-PBE-relaxed structure and Cu Kα X-rays.
Kinematic intensities with the Lorentz-polarization factor, no thermal factor.

Atomic structure:
```
data_Th7Ni3
_cell_length_a 9.8359
_cell_length_b 9.8359
_cell_length_c 6.2170
_cell_angle_alpha 90.00
_cell_angle_beta 90.00
_cell_angle_gamma 120.00
_symmetry_space_group_name_H-M 'P 63 m c'
_symmetry_Int_Tables_number 186
_symmetry_space_group_name_Hall 'P 6c -2c'
loop_
_atom_site_label
_atom_site_type_symbol
_atom_site_fract_x
_atom_site_fract_y
_atom_site_fract_z
Th1 Th 0.0880 0.5440 0.0000
Th2 Th 0.1268 0.2535 0.7014
Th3 Th 0.3333 0.6667 0.5330
Ni1 Ni 0.1865 0.3730 0.2683
```

Largest 6 diffraction maxima, by angle, 2θ from 10° to 80°:
- 2θ = 30.62°, 2.920 Å, rel. 38, hkl 1 0 2
- 2θ = 31.29°, 2.859 Å, rel. 100, hkl 2 1 1
- 2θ = 34.73°, 2.583 Å, rel. 38, hkl 3 0 1
- 2θ = 35.76°, 2.511 Å, rel. 31, hkl 2 0 2
- 2θ = 36.54°, 2.459 Å, rel. 22, hkl 2 2 0
- 2θ = 55.55°, 1.654 Å, rel. 26, hkl 3 2 2

3.
Diffraction record for GePdSeO. The powder X-ray diffraction pattern is calculated, not measured: it uses a GGA-PBE-relaxed structure and Cu Kα X-rays.
Kinematic intensities with the Lorentz-polarization factor, no thermal factor.

Atomic structure:
```
data_GePdSeO
_cell_length_a 5.055
_cell_length_b 8.078
_cell_length_c 8.654
_cell_angle_alpha 90.00
_cell_angle_beta 90.00
_cell_angle_gamma 90.00
_symmetry_space_group_name_H-M 'P 21 21 21'
_symmetry_Int_Tables_number 19
loop_
_symmetry_equiv_pos_as_xyz
'x,y,z'
'-x+1/2,-y,z+1/2'
'x+1/2,-y+1/2,-z'
'-x,y+1/2,-z+1/2'
loop_
_atom_site_label
_atom_site_type_symbol
_atom_site_fract_x
_atom_site_fract_y
_atom_site_fract_z
Ge1 Ge 0.147 0.213 0.112
Pd1 Pd 0.227 0.723 0.030
Se1 Se 0.042 0.417 0.322
O1 O 0.004 0.772 0.570
```

Largest 6 diffraction maxima, by angle, 2θ from 10° to 80°:
- 2θ = 20.35°, 4.365 Å, rel. 100, hkl 1 0 1
- 2θ = 22.01°, 4.039 Å, rel. 100, hkl 0 2 0
- 2θ = 30.27°, 2.952 Å, rel. 84, hkl 0 2 2
- 2θ = 35.20°, 2.549 Å, rel. 66, hkl 1 2 2
- 2θ = 43.49°, 2.081 Å, rel. 59, hkl 2 2 1
- 2θ = 46.13°, 1.968 Å, rel. 61, hkl 0 3 3

4.
Diffraction record for LiHgPt2. The powder X-ray diffraction pattern is calculated, not measured: it uses a GGA-PBE-relaxed structure and Cu Kα X-rays.
Kinematic intensities with the Lorentz-polarization factor, no thermal factor.

Atomic structure:
```
data_LiHgPt2
_cell_length_a 6.403
_cell_length_b 6.403
_cell_length_c 6.403
_cell_angle_alpha 90.00
_cell_angle_beta 90.00
_cell_angle_gamma 90.00
_symmetry_space_group_name_H-M 'F -4 3 m'
_symmetry_Int_Tables_number 216
_symmetry_space_group_name_Hall 'F -4 2 3'
loop_
_atom_site_label
_atom_site_type_symbol
_atom_site_fract_x
_atom_site_fract_y
_atom_site_fract_z
Li1 Li 0.000 0.000 0.000
Hg1 Hg 0.250 0.250 0.250
Pt1 Pt 0.000 0.000 0.500
Pt2 Pt 0.250 0.250 0.750
```

Largest 6 diffraction maxima, by angle, 2θ from 10° to 80°:
- 2θ = 24.08°, 3.697 Å, rel. 24, hkl 1 1 1
- 2θ = 27.87°, 3.201 Å, rel. 14, hkl 2 0 0
- 2θ = 39.82°, 2.264 Å, rel. 100, hkl 2 2 0
- 2θ = 47.07°, 1.930 Å, rel. 13, hkl 3 1 1
- 2θ = 57.58°, 1.601 Å, rel. 17, hkl 4 0 0
- 2θ = 72.30°, 1.307 Å, rel. 36, hkl 4 2 2

5.
Diffraction record for Nd3InPt8. The powder X-ray diffraction pattern is calculated, not measured: it uses a GGA-PBE-relaxed structure and Cu Kα X-rays.
Kinematic intensities with the Lorentz-polarization factor, no thermal factor.

Atomic structure:
```
data_Nd3InPt8
_cell_length_a 5.4954
_cell_length_b 5.4954
_cell_length_c 26.8380
_cell_angle_alpha 90.00
_cell_angle_beta 90.00
_cell_angle_gamma 120.00
_symmetry_space_group_name_H-M 'R 3 m'
_symmetry_Int_Tables_number 160
_symmetry_space_group_name_Hall 'R 3 -2"'
loop_
_atom_site_label
_atom_site_type_symbol
_atom_site_fract_x
_atom_site_fract_y
_atom_site_fract_z
Nd1 Nd 0.0000 0.0000 0.0000
Nd2 Nd 0.0000 0.0000 0.1284
Nd3 Nd 0.0000 0.0000 0.6161
In1 In 0.0000 0.0000 0.4909
Pt1 Pt 0.0000 0.0000 0.3113
Pt2 Pt 0.0000 0.0000 0.8116
Pt3 Pt 0.0024 0.5012 0.5618
Pt4 Pt 0.1673 0.3345 0.3938
```

Largest 6 diffraction maxima, by angle, 2θ from 10° to 80°:
- 2θ = 19.81°, 4.482 Å, rel. 19, hkl 0 1 2
- 2θ = 32.62°, 2.745 Å, rel. 17, hkl 1 1 0
- 2θ = 38.46°, 2.341 Å, rel. 100, hkl 1 1 6
- 2θ = 40.21°, 2.243 Å, rel. 39, hkl 0 2 4
- 2θ = 62.10°, 1.495 Å, rel. 24, hkl 3 0 6
- 2θ = 68.27°, 1.374 Å, rel. 16, hkl 2 2 0

6.
Diffraction record for SmGdSn2Pt4. The powder X-ray diffraction pattern is calculated, not measured: it uses a GGA-PBE-relaxed structure and Cu Kα X-rays.
Kinematic intensities with the Lorentz-polarization factor, no thermal factor.

Atomic structure:
```
data_SmGdSn2Pt4
_cell_length_a 4.5963
_cell_length_b 4.5963
_cell_length_c 9.1767
_cell_angle_alpha 90.00
_cell_angle_beta 90.00
_cell_angle_gamma 120.00
_symmetry_space_group_name_H-M 'P -6 m 2'
_symmetry_Int_Tables_number 187
_symmetry_space_group_name_Hall 'P -6 2'
loop_
_atom_site_label
_atom_site_type_symbol
_atom_site_fract_x
_atom_site_fract_y
_atom_site_fract_z
Sm1 Sm 0.0000 0.0000 0.0000
Gd1 Gd 0.6667 0.3333 0.5000
Sn1 Sn 0.3333 0.6667 0.2520
Pt1 Pt 0.0000 0.0000 0.3401
Pt2 Pt 0.6667 0.3333 0.1632
```

Largest 6 diffraction maxima, by angle, 2θ from 10° to 80°:
- 2θ = 22.33°, 3.981 Å, rel. 18, hkl 1 0 0
- 2θ = 37.07°, 2.425 Å, rel. 100, hkl 1 0 3
- 2θ = 39.20°, 2.298 Å, rel. 87, hkl 1 1 0
- 2θ = 55.05°, 1.668 Å, rel. 32, hkl 2 0 3
- 2θ = 65.35°, 1.428 Å, rel. 16, hkl 1 0 6
- 2θ = 69.64°, 1.350 Å, rel. 32, hkl 2 1 3

7.
Diffraction record for Tb3Ge13Ir4. The powder X-ray diffraction pattern is calculated, not measured: it uses a GGA-PBE-relaxed structure and Cu Kα X-rays.
Kinematic intensities with the Lorentz-polarization factor, no thermal factor.

Atomic structure:
```
data_Tb3Ge13Ir4
_cell_length_a 9.045
_cell_length_b 9.045
_cell_length_c 9.045
_cell_angle_alpha 90.00
_cell_angle_beta 90.00
_cell_angle_gamma 90.00
_symmetry_space_group_name_H-M 'P m -3 n'
_symmetry_Int_Tables_number 223
_symmetry_space_group_name_Hall '-P 4n 2 3'
loop_
_atom_site_label
_atom_site_type_symbol
_atom_site_fract_x
_atom_site_fract_y
_atom_site_fract_z
Tb1 Tb 0.000 0.250 0.500
Ge1 Ge 0.000 0.000 0.000
Ge2 Ge 0.000 0.307 0.145
Ir1 Ir 0.250 0.250 0.250
```

Largest 6 diffraction maxima, by angle, 2θ from 10° to 80°:
- 2θ = 19.63°, 4.523 Å, rel. 47, hkl 2 0 0
- 2θ = 34.34°, 2.611 Å, rel. 56, hkl 2 2 2
- 2θ = 35.79°, 2.509 Å, rel. 100, hkl 3 2 0
- 2θ = 37.19°, 2.417 Å, rel. 40, hkl 3 2 1
- 2θ = 39.87°, 2.261 Å, rel. 55, hkl 4 0 0
- 2θ = 49.36°, 1.846 Å, rel. 53, hkl 4 2 2

8.
Diffraction record for NbHBrCl. The powder X-ray diffraction pattern is calculated, not measured: it uses a GGA-PBE-relaxed structure and Cu Kα X-rays.
Kinematic intensities with the Lorentz-polarization factor, no thermal factor.

Atomic structure:
```
data_NbHBrCl
_cell_length_a 3.3585
_cell_length_b 3.3585
_cell_length_c 14.5724
_cell_angle_alpha 90.00
_cell_angle_beta 90.00
_cell_angle_gamma 120.00
_symmetry_space_group_name_H-M 'P -6 m 2'
_symmetry_Int_Tables_number 187
_symmetry_space_group_name_Hall 'P -6 2'
loop_
_atom_site_label
_atom_site_type_symbol
_atom_site_fract_x
_atom_site_fract_y
_atom_site_fract_z
Nb1 Nb 0.0000 0.0000 0.0000
Nb2 Nb 0.0000 0.0000 0.5000
H1 H 0.3333 0.6667 0.0000
H2 H 0.6667 0.3333 0.5000
Br1 Br 0.3333 0.6667 0.3610
Cl1 Cl 0.6667 0.3333 0.1290
```

Largest 6 diffraction maxima, by angle, 2θ from 10° to 80°:
- 2θ = 12.15°, 7.286 Å, rel. 87, hkl 0 0 2
- 2θ = 31.36°, 2.852 Å, rel. 36, hkl 1 0 1
- 2θ = 33.16°, 2.701 Å, rel. 74, hkl 1 0 2
- 2θ = 35.99°, 2.495 Å, rel. 43, hkl 1 0 3
- 2θ = 39.65°, 2.273 Å, rel. 100, hkl 1 0 4
- 2θ = 54.66°, 1.679 Å, rel. 36, hkl 1 1 0

9.
Diffraction record for In2Hg2Ge3. The powder X-ray diffraction pattern is calculated, not measured: it uses a GGA-PBE-relaxed structure and Cu Kα X-rays.
Kinematic intensities with the Lorentz-polarization factor, no thermal factor.

Atomic structure:
```
data_In2Hg2Ge3
_cell_length_a 5.0118
_cell_length_b 5.0118
_cell_length_c 23.3808
_cell_angle_alpha 90.00
_cell_angle_beta 90.00
_cell_angle_gamma 120.00
_symmetry_space_group_name_H-M 'R 3 m'
_symmetry_Int_Tables_number 160
_symmetry_space_group_name_Hall 'R 3 -2"'
loop_
_atom_site_label
_atom_site_type_symbol
_atom_site_fract_x
_atom_site_fract_y
_atom_site_fract_z
In1 In 0.0000 0.0000 0.0000
In2 In 0.0000 0.0000 0.4830
Hg1 Hg 0.0000 0.0000 0.2234
Hg2 Hg 0.0000 0.0000 0.7482
Ge1 Ge 0.0000 0.0000 0.3587
Ge2 Ge 0.0000 0.0000 0.6137
Ge3 Ge 0.0000 0.0000 0.8728
```

Largest 6 diffraction maxima, by angle, 2θ from 10° to 80°:
- 2θ = 25.56°, 3.485 Å, rel. 47, hkl 1 0 4
- 2θ = 33.86°, 2.647 Å, rel. 21, hkl 1 0 7
- 2θ = 35.83°, 2.506 Å, rel. 100, hkl 1 1 0
- 2θ = 37.08°, 2.424 Å, rel. 69, hkl 0 1 8
- 2θ = 52.52°, 1.742 Å, rel. 25, hkl 2 0 8
- 2θ = 65.22°, 1.431 Å, rel. 26, hkl 1 2 8

10.
Diffraction record for La2Hg4PtAu. The powder X-ray diffraction pattern is calculated, not measured: it uses a GGA-PBE-relaxed structure and Cu Kα X-rays.
Kinematic intensities with the Lorentz-polarization factor, no thermal factor.

Atomic structure:
```
data_La2Hg4PtAu
_cell_length_a 8.524
_cell_length_b 4.382
_cell_length_c 10.326
_cell_angle_alpha 90.00
_cell_angle_beta 90.00
_cell_angle_gamma 90.00
_symmetry_space_group_name_H-M 'A m m 2'
_symmetry_Int_Tables_number 38
loop_
_symmetry_equiv_pos_as_xyz
'x,y,z'
'-x,-y,z'
'-x,y,z'
'x,-y,z'
'x,y+1/2,z+1/2'
'-x,-y+1/2,z+1/2'
'-x,y+1/2,z+1/2'
'x,-y+1/2,z+1/2'
loop_
_atom_site_label
_atom_site_type_symbol
_atom_site_fract_x
_atom_site_fract_y
_atom_site_fract_z
La1 La 0.000 0.000 0.000
La2 La 0.500 0.000 0.138
Hg1 Hg 0.196 0.000 0.708
Hg2 Hg 0.296 0.000 0.433
Pt1 Pt 0.000 0.000 0.295
Au1 Au 0.500 0.000 0.844
```

Largest 6 diffraction maxima, by angle, 2θ from 10° to 80°:
- 2θ = 30.51°, 2.930 Å, rel. 100, hkl 2 1 1
- 2θ = 34.77°, 2.580 Å, rel. 82, hkl 1 1 3
- 2θ = 38.77°, 2.323 Å, rel. 59, hkl 3 1 1
- 2θ = 39.44°, 2.285 Å, rel. 41, hkl 2 1 3
- 2θ = 40.87°, 2.208 Å, rel. 34, hkl 2 0 4
- 2θ = 41.20°, 2.191 Å, rel. 45, hkl 0 2 0

11.
Diffraction record for DyPb. The powder X-ray diffraction pattern is calculated, not measured: it uses a GGA-PBE-relaxed structure and Cu Kα X-rays.
Kinematic intensities with the Lorentz-polarization factor, no thermal factor.

Atomic structure:
```
data_DyPb
_cell_length_a 3.6186
_cell_length_b 3.6186
_cell_length_c 5.1331
_cell_angle_alpha 90.00
_cell_angle_beta 90.00
_cell_angle_gamma 120.00
_symmetry_space_group_name_H-M 'P -6 m 2'
_symmetry_Int_Tables_number 187
_symmetry_space_group_name_Hall 'P -6 2'
loop_
_atom_site_label
_atom_site_type_symbol
_atom_site_fract_x
_atom_site_fract_y
_atom_site_fract_z
Dy1 Dy 0.0000 0.0000 0.0000
Pb1 Pb 0.6667 0.3333 0.5000
```

Largest 6 diffraction maxima, by angle, 2θ from 10° to 80°:
- 2θ = 28.48°, 3.134 Å, rel. 26, hkl 1 0 0
- 2θ = 33.50°, 2.675 Å, rel. 100, hkl 1 0 1
- 2θ = 34.96°, 2.567 Å, rel. 20, hkl 0 0 2
- 2θ = 50.44°, 1.809 Å, rel. 21, hkl 1 1 0
- 2θ = 61.77°, 1.502 Å, rel. 18, hkl 1 0 3
- 2θ = 62.84°, 1.479 Å, rel. 22, hkl 1 1 2

12.
Diffraction record for Ag2HgI2Br2. The powder X-ray diffraction pattern is calculated, not measured: it uses a GGA-PBE-relaxed structure and Cu Kα X-rays.
Kinematic intensities with the Lorentz-polarization factor, no thermal factor.

Atomic structure:
```
data_Ag2HgI2Br2
_cell_length_a 6.294
_cell_length_b 6.344
_cell_length_c 7.719
_cell_angle_alpha 113.18
_cell_angle_beta 113.40
_cell_angle_gamma 90.12
_symmetry_space_group_name_H-M 'P 1'
_symmetry_Int_Tables_number 1
loop_
_symmetry_equiv_pos_as_xyz
'x,y,z'
loop_
_atom_site_label
_atom_site_type_symbol
_atom_site_fract_x
_atom_site_fract_y
_atom_site_fract_z
Ag1 Ag 0.000 0.000 0.000
Ag2 Ag 0.257 0.755 0.499
Hg1 Hg 0.499 0.501 0.998
I1 I 0.098 0.140 0.728
I2 I 0.870 0.373 0.271
Br1 Br 0.382 0.880 0.246
Br2 Br 0.629 0.631 0.751
```

Largest 6 diffraction maxima, by angle, 2θ from 10° to 80°:
- 2θ = 24.06°, 3.699 Å, rel. 96, hkl 1 1 0
- 2θ = 24.22°, 3.675 Å, rel. 100, hkl -1 1 1
- 2θ = 24.35°, 3.656 Å, rel. 82, hkl 1 -1 1
- 2θ = 24.58°, 3.622 Å, rel. 84, hkl 1 1 -2
- 2θ = 40.38°, 2.234 Å, rel. 92, hkl 2 2 -2
- 2θ = 40.45°, 2.230 Å, rel. 89, hkl 2 0 -3